Record 1
This entry pairs a crystal structure of Hf9Mo4S with its computed powder X-ray diffraction pattern. Radiation: Cu Kα, 1.54184 Å. Structure: a cell relaxed with GGA-PBE.
Kinematic intensities with the Lorentz-polarization factor, no thermal factor.

a b c (Å): 8.6835 8.6835 8.5301
angles (deg): 90.00 90.00 120.00
Space group P6_3/mmc (No. 194)
Symmetry-distinct sites (fractional):
1 Hf 0.0849 0.5424 0.2500 (multiplicity 6)
2 Hf 0.1972 0.3944 0.5506 (multiplicity 12)
3 Mo 0.0000 0.0000 0.0000 (multiplicity 2)
4 Mo 0.1109 0.2217 0.2500 (multiplicity 6)
5 S 0.3333 0.6667 0.7500 (multiplicity 2)

Principal peaks in the range 2θ = 10–90°, low angle first:
31.72 deg, d 2.820, I = 455, (2 0 2); 33.70 deg, d 2.660, I = 333, (1 0 3); 37.39 deg, d 2.405, I = 682, (3 0 1); 38.04 deg, d 2.365, I = 1000, (2 1 2); 39.74 deg, d 2.268, I = 446, (2 0 3); 63.02 deg, d 1.475, I = 347, (3 2 3)

Record 2
This entry pairs a crystal structure of Cs2NaUCl6 with its computed powder X-ray diffraction pattern. Radiation: Cu Kα, 1.54184 Å. Structure: a cell relaxed with GGA-PBE.
Kinematic intensities with the Lorentz-polarization factor, no thermal factor.

a b c (Å): 11.081 11.081 11.081
angles (deg): 90.00 90.00 90.00
Space group Fm-3m (No. 225)
Symmetry-distinct sites (fractional):
1 Cs 0.250 0.250 0.250 (multiplicity 8)
2 Na 0.000 0.000 0.000 (multiplicity 4)
3 U 0.000 0.000 0.500 (multiplicity 4)
4 Cl 0.000 0.000 0.253 (multiplicity 24)

Principal peaks in the range 2θ = 10–90°, low angle first:
13.84 deg, d 6.398, I = 446, (1 1 1); 22.70 deg, d 3.918, I = 1000, (2 2 0); 26.68 deg, d 3.341, I = 282, (3 1 1); 32.31 deg, d 2.770, I = 577, (4 0 0); 39.85 deg, d 2.262, I = 479, (4 2 2); 46.35 deg, d 1.959, I = 404, (4 4 0)